Record 1
Structure and computed powder X-ray diffraction pattern of Ac2TlC2N6 (DFT lattice parameters and positions (PBE); λ = 1.5418 Å (Cu Kα)).
No peak broadening, texture or thermal motion is included.

Atomic structure:
```
data_Ac2TlC2N6
_cell_length_a 5.469
_cell_length_b 5.675
_cell_length_c 6.771
_cell_angle_alpha 105.12
_cell_angle_beta 112.51
_cell_angle_gamma 98.60
_space_group_name_H-M_alt 'P -1'
_space_group_IT_number 2
loop_
_space_group_symop_operation_xyz
'x,y,z'
'-x,-y,-z'
loop_
_atom_site_label
_atom_site_fract_x
_atom_site_fract_y
_atom_site_fract_z
Ac1 0.102 0.217 0.331
Tl1 0.500 0.500 0.000
C1 0.229 0.716 0.242
N1 0.079 0.733 0.363
N2 0.199 0.829 0.085
N3 0.420 0.576 0.289
```

Top 10 peaks for 2θ = 15–90°, low angle first:
| 2θ/deg | intensity | index |
| --- | --- | --- |
| 21.16 | 85 | 1 -1 0 |
| 24.54 | 100 | 1 1 -1 |
| 26.41 | 60 | 0 1 1 |
| 27.74 | 64 | 1 0 -2 |
| 28.60 | 78 | 1 0 1 |
| 29.26 | 54 | 0 1 -2 |
| 32.09 | 43 | 0 2 -1 |
| 33.15 | 28 | 2 0 -1 |
| 43.48 | 36 | 1 2 0 |
| 54.40 | 32 | 1 1 -4 |

---

Record 2
Structure and computed powder X-ray diffraction pattern of AcNdC2O8 (DFT lattice parameters and positions (PBE); λ = 1.5418 Å (Cu Kα)).
No peak broadening, texture or thermal motion is included.

Atomic structure:
```
data_AcNdC2O8
_cell_length_a 4.9274
_cell_length_b 4.9274
_cell_length_c 19.8010
_cell_angle_alpha 90.00
_cell_angle_beta 90.00
_cell_angle_gamma 120.00
_space_group_name_H-M_alt 'R -3 m'
_space_group_IT_number 166
_space_group_name_Hall '-R 3 2"'
loop_
_atom_site_label
_atom_site_fract_x
_atom_site_fract_y
_atom_site_fract_z
Ac1 0.0000 0.0000 0.0000
Nd1 0.0000 0.0000 0.5000
C1 0.0000 0.0000 0.2411
O1 0.0000 0.0000 0.1701
O2 0.0279 0.5140 0.9307
```

Top 10 peaks for 2θ = 15–90°, low angle first:
| 2θ/deg | intensity | index |
| --- | --- | --- |
| 22.69 | 87 | 0 1 2 |
| 27.02 | 19 | 0 0 6 |
| 27.60 | 100 | 1 0 4 |
| 36.47 | 48 | 1 1 0 |
| 42.21 | 33 | 0 1 8 |
| 43.38 | 29 | 2 0 2 |
| 45.97 | 54 | 1 1 6 |
| 46.34 | 21 | 0 2 4 |
| 57.93 | 19 | 1 2 2 |
| 60.36 | 19 | 2 1 4 |

---

Record 3
Structure and computed powder X-ray diffraction pattern of Ac2NiC4 (DFT lattice parameters and positions (PBE); λ = 1.5418 Å (Cu Kα)).
No peak broadening, texture or thermal motion is included.

Atomic structure:
```
data_Ac2NiC4
_cell_length_a 7.506
_cell_length_b 11.252
_cell_length_c 5.534
_cell_angle_alpha 90.00
_cell_angle_beta 90.00
_cell_angle_gamma 90.00
_space_group_name_H-M_alt 'I b a m'
_space_group_IT_number 72
_space_group_name_Hall '-I 2 2c'
loop_
_atom_site_label
_atom_site_fract_x
_atom_site_fract_y
_atom_site_fract_z
Ac1 0.188 0.141 0.000
Ni1 0.000 0.500 0.250
C1 0.162 0.418 0.000
C2 0.168 0.117 0.500
```

Top 10 peaks for 2θ = 15–90°, low angle first:
| 2θ/deg | intensity | index |
| --- | --- | --- |
| 23.71 | 17 | 2 0 0 |
| 25.51 | 100 | 1 2 1 |
| 26.57 | 17 | 1 3 0 |
| 29.84 | 30 | 2 1 1 |
| 32.35 | 19 | 0 0 2 |
| 36.80 | 15 | 3 1 0 |
| 40.06 | 16 | 2 4 0 |
| 40.50 | 18 | 2 0 2 |
| 46.01 | 20 | 0 4 2 |
| 55.22 | 18 | 3 3 2 |

---

Record 4
Structure and computed powder X-ray diffraction pattern of Ac2Ni5C (DFT lattice parameters and positions (PBE); λ = 1.5418 Å (Cu Kα)).
No peak broadening, texture or thermal motion is included.

Atomic structure:
```
data_Ac2Ni5C
_cell_length_a 5.379
_cell_length_b 5.379
_cell_length_c 9.326
_cell_angle_alpha 90.00
_cell_angle_beta 90.00
_cell_angle_gamma 90.00
_space_group_name_H-M_alt 'I 4 m m'
_space_group_IT_number 107
_space_group_name_Hall 'I 4 -2'
loop_
_atom_site_label
_atom_site_fract_x
_atom_site_fract_y
_atom_site_fract_z
Ac1 0.000 0.500 0.000
Ni1 0.000 0.000 0.418
Ni2 0.242 0.242 0.743
C1 0.000 0.000 0.655
```

Top 10 peaks for 2θ = 15–90°, low angle first:
| 2θ/deg | intensity | index |
| --- | --- | --- |
| 23.39 | 36 | 1 1 0 |
| 30.33 | 49 | 1 1 2 |
| 38.64 | 100 | 2 0 2 |
| 45.64 | 22 | 1 1 4 |
| 47.83 | 25 | 2 2 0 |
| 57.69 | 17 | 3 1 2 |
| 63.09 | 17 | 2 2 4 |
| 68.26 | 14 | 3 1 4 |
| 69.93 | 19 | 4 0 0 |
| 82.90 | 17 | 4 2 2 |